[1]
The following is a calculated X-ray diffraction stick pattern of CaP2H8. It was derived from a cell relaxed with PBE, using Cu Kα (λ = 1.5418 Å).
Intensities are scaled so that the largest is 100.

The 10 most intense peaks (15° ≤ 2θ ≤ 90°), in order of rising 2θ:
d 5.240, 16.92 deg, intensity 24; d 3.867, 23.00 deg, intensity 80; d 3.562, 25.00 deg, intensity 79; d 3.142, 28.41 deg, intensity 13; d 3.101, 28.79 deg, intensity 100; d 2.620, 34.23 deg, intensity 56; d 2.421, 37.14 deg, intensity 53; d 2.266, 39.77 deg, intensity 39; d 2.051, 44.16 deg, intensity 13; d 1.746, 52.42 deg, intensity 16

Cell and atoms:
Unit cell a=7.143 b=7.143 c=7.142 alpha=116.68 beta=116.68 gamma=65.56
Fractional positions:
Ca  0.024  0.976  0.750
Ca  0.976  0.024  0.250
P  0.258  0.347  0.533
P  0.347  0.258  0.033
P  0.653  0.742  0.967
P  0.742  0.653  0.467
H  0.159  0.812  0.008
H  0.188  0.841  0.492
H  0.234  0.518  0.465
H  0.244  0.490  0.747
H  0.275  0.490  0.096
H  0.482  0.766  0.035
H  0.490  0.244  0.247
H  0.490  0.275  0.596
H  0.510  0.725  0.404
H  0.510  0.756  0.753
H  0.518  0.234  0.965
H  0.725  0.510  0.904
H  0.756  0.510  0.253
H  0.766  0.482  0.535
H  0.812  0.159  0.508
H  0.841  0.188  0.992

---

[2]
The following is a calculated X-ray diffraction stick pattern of CaP3H12. It was derived from a cell relaxed with PBE, using Cu Kα (λ = 1.5418 Å).
Intensities are scaled so that the largest is 100.

The 10 most intense peaks (15° ≤ 2θ ≤ 90°), in order of rising 2θ:
d 3.697, 24.07 deg, intensity 13; d 3.627, 24.54 deg, intensity 23; d 3.039, 29.39 deg, intensity 100; d 2.829, 31.63 deg, intensity 55; d 2.619, 34.24 deg, intensity 44; d 2.260, 39.88 deg, intensity 33; d 2.119, 42.68 deg, intensity 22; d 2.052, 44.13 deg, intensity 28; d 2.026, 44.73 deg, intensity 13; d 1.814, 50.31 deg, intensity 17

Cell and atoms:
Unit cell a=8.279 b=8.279 c=8.279 alpha=66.19 beta=66.19 gamma=66.19
Fractional positions:
Ca  0.000  0.000  0.000
Ca  0.500  0.500  0.500
P  0.225  0.764  0.283
P  0.264  0.725  0.783
P  0.283  0.225  0.764
P  0.725  0.783  0.264
P  0.764  0.283  0.225
P  0.783  0.264  0.725
H  0.055  0.746  0.422
H  0.057  0.448  0.322
H  0.150  0.459  0.258
H  0.202  0.937  0.304
H  0.246  0.555  0.922
H  0.258  0.150  0.459
H  0.304  0.202  0.937
H  0.322  0.057  0.448
H  0.422  0.055  0.746
H  0.437  0.702  0.804
H  0.448  0.322  0.057
H  0.459  0.258  0.150
H  0.555  0.922  0.246
H  0.557  0.822  0.948
H  0.650  0.758  0.959
H  0.702  0.804  0.437
H  0.746  0.422  0.055
H  0.758  0.959  0.650
H  0.804  0.437  0.702
H  0.822  0.948  0.557
H  0.922  0.246  0.555
H  0.937  0.304  0.202
H  0.948  0.557  0.822
H  0.959  0.650  0.758

---

[3]
The following is a calculated X-ray diffraction stick pattern of CaPHPt6. It was derived from a cell relaxed with PBE, using Cu Kα (λ = 1.5418 Å).
Intensities are scaled so that the largest is 100.

The 10 most intense peaks (15° ≤ 2θ ≤ 90°), in order of rising 2θ:
d 3.812, 23.33 deg, intensity 34; d 2.745, 32.62 deg, intensity 34; d 2.644, 33.90 deg, intensity 100; d 2.486, 36.13 deg, intensity 31; d 2.229, 40.46 deg, intensity 28; d 2.197, 41.09 deg, intensity 17; d 2.031, 44.61 deg, intensity 20; d 1.910, 47.60 deg, intensity 24; d 1.904, 47.76 deg, intensity 41; d 1.831, 49.81 deg, intensity 16

Cell and atoms:
Unit cell a=7.626 b=7.626 c=7.626 alpha=122.59 beta=119.86 gamma=87.91
Fractional positions:
Ca  0.435  0.185  0.250
Ca  0.565  0.815  0.750
P  0.000  0.000  0.500
P  0.000  0.500  0.000
H  0.000  0.500  0.500
H  0.500  0.500  0.000
Pt  0.106  0.414  0.273
Pt  0.106  0.832  0.691
Pt  0.129  0.879  0.250
Pt  0.287  0.537  0.750
Pt  0.359  0.168  0.773
Pt  0.359  0.586  0.191
Pt  0.641  0.414  0.809
Pt  0.641  0.832  0.227
Pt  0.713  0.463  0.250
Pt  0.871  0.121  0.750
Pt  0.894  0.168  0.309
Pt  0.894  0.586  0.727

---

[4]
The following is a calculated X-ray diffraction stick pattern of Sr2Ca4H2Pb3. It was derived from a cell relaxed with PBE, using Cu Kα (λ = 1.5418 Å).
Intensities are scaled so that the largest is 100.

The 10 most intense peaks (15° ≤ 2θ ≤ 90°), in order of rising 2θ:
d 5.056, 17.54 deg, intensity 83; d 4.046, 21.97 deg, intensity 23; d 3.655, 24.35 deg, intensity 58; d 2.880, 31.06 deg, intensity 64; d 2.712, 33.03 deg, intensity 100; d 2.585, 34.70 deg, intensity 58; d 2.302, 39.14 deg, intensity 24; d 1.924, 47.25 deg, intensity 40; d 1.756, 52.08 deg, intensity 23; d 1.516, 61.14 deg, intensity 34

Cell and atoms:
Unit cell a=12.675 b=12.675 c=12.675 alpha=156.47 beta=156.47 gamma=33.52
Fractional positions:
Sr  0.198  0.198  0.000
Sr  0.802  0.802  0.000
Ca  0.080  0.580  0.500
Ca  0.420  0.920  0.500
Ca  0.580  0.080  0.500
Ca  0.920  0.420  0.500
H  0.093  0.093  0.000
H  0.907  0.907  0.000
Pb  0.338  0.338  0.000
Pb  0.500  0.500  0.000
Pb  0.662  0.662  0.000

---

[5]
The following is a calculated X-ray diffraction stick pattern of CaH8Pd6. It was derived from a cell relaxed with PBE, using Cu Kα (λ = 1.5418 Å).
Intensities are scaled so that the largest is 100.

The 10 most intense peaks (15° ≤ 2θ ≤ 90°), in order of rising 2θ:
d 4.749, 18.69 deg, intensity 25; d 3.069, 29.09 deg, intensity 21; d 2.642, 33.93 deg, intensity 19; d 2.597, 34.54 deg, intensity 39; d 2.462, 36.50 deg, intensity 100; d 2.374, 37.89 deg, intensity 25; d 2.100, 43.08 deg, intensity 23; d 1.947, 46.66 deg, intensity 45; d 1.439, 64.78 deg, intensity 30; d 1.259, 75.52 deg, intensity 23

Cell and atoms:
Unit cell a=6.166 b=6.166 c=6.166 alpha=55.67 beta=55.67 gamma=55.67
Fractional positions:
Ca  0.000  0.000  0.000
H  0.189  0.716  0.716
H  0.284  0.284  0.811
H  0.284  0.811  0.284
H  0.308  0.308  0.308
H  0.692  0.692  0.692
H  0.716  0.189  0.716
H  0.716  0.716  0.189
H  0.811  0.284  0.284
Pd  0.078  0.594  0.594
Pd  0.406  0.406  0.922
Pd  0.406  0.922  0.406
Pd  0.594  0.078  0.594
Pd  0.594  0.594  0.078
Pd  0.922  0.406  0.406

---

[6]
The following is a calculated X-ray diffraction stick pattern of Ca4HPd. It was derived from a cell relaxed with PBE, using Cu Kα (λ = 1.5418 Å).
Intensities are scaled so that the largest is 100.

The 10 most intense peaks (15° ≤ 2θ ≤ 90°), in order of rising 2θ:
d 5.029, 17.63 deg, intensity 71; d 4.747, 18.69 deg, intensity 81; d 4.557, 19.48 deg, intensity 82; d 3.016, 29.62 deg, intensity 92; d 2.838, 31.52 deg, intensity 94; d 2.823, 31.69 deg, intensity 92; d 2.792, 32.06 deg, intensity 100; d 2.435, 36.91 deg, intensity 37; d 2.426, 37.06 deg, intensity 65; d 2.374, 37.91 deg, intensity 50

Cell and atoms:
Unit cell a=5.982 b=9.494 c=6.020 alpha=90.00 beta=98.81 gamma=90.00
Fractional positions:
Ca  0.158  0.250  0.260
Ca  0.237  0.750  0.344
Ca  0.285  0.041  0.782
Ca  0.285  0.459  0.782
Ca  0.715  0.541  0.218
Ca  0.715  0.959  0.218
Ca  0.763  0.250  0.656
Ca  0.842  0.750  0.740
H  0.140  0.250  0.634
H  0.860  0.750  0.366
Pd  0.388  0.750  0.891
Pd  0.612  0.250  0.109

---

[7]
The following is a calculated X-ray diffraction stick pattern of CaH3Pd. It was derived from a cell relaxed with PBE, using Cu Kα (λ = 1.5418 Å).
Intensities are scaled so that the largest is 100.

The 10 most intense peaks (15° ≤ 2θ ≤ 90°), in order of rising 2θ:
d 4.861, 18.25 deg, intensity 25; d 3.023, 29.55 deg, intensity 100; d 2.662, 33.67 deg, intensity 69; d 2.431, 36.98 deg, intensity 23; d 2.270, 39.70 deg, intensity 41; d 1.836, 49.64 deg, intensity 29; d 1.659, 55.38 deg, intensity 16; d 1.570, 58.84 deg, intensity 14; d 1.512, 61.33 deg, intensity 11; d 1.465, 63.49 deg, intensity 26

Cell and atoms:
Unit cell a=3.673 b=3.673 c=9.723 alpha=90.00 beta=90.00 gamma=120.00
Fractional positions:
Ca  0.000  0.000  0.000
Ca  0.000  0.000  0.500
H  0.000  0.000  0.250
H  0.000  0.000  0.750
H  0.333  0.667  0.076
H  0.333  0.667  0.424
H  0.667  0.333  0.576
H  0.667  0.333  0.924
Pd  0.333  0.667  0.250
Pd  0.667  0.333  0.750

---

[8]
The following is a calculated X-ray diffraction stick pattern of CaH3Pd. It was derived from a cell relaxed with PBE, using Cu Kα (λ = 1.5418 Å).
Intensities are scaled so that the largest is 100.

The 10 most intense peaks (15° ≤ 2θ ≤ 90°), in order of rising 2θ:
d 4.981, 17.81 deg, intensity 65; d 3.725, 23.89 deg, intensity 52; d 2.819, 31.74 deg, intensity 18; d 2.481, 36.21 deg, intensity 100; d 2.454, 36.62 deg, intensity 75; d 2.221, 40.63 deg, intensity 48; d 1.745, 52.45 deg, intensity 27; d 1.432, 65.13 deg, intensity 17; d 1.427, 65.40 deg, intensity 26; d 1.380, 67.93 deg, intensity 16

Cell and atoms:
Unit cell a=5.746 b=5.746 c=5.746 alpha=51.16 beta=51.16 gamma=51.16
Fractional positions:
Ca  0.108  0.108  0.108
Ca  0.892  0.892  0.892
H  0.093  0.576  0.576
H  0.424  0.424  0.907
H  0.424  0.907  0.424
H  0.576  0.093  0.576
H  0.576  0.576  0.093
H  0.907  0.424  0.424
Pd  0.318  0.318  0.318
Pd  0.682  0.682  0.682